This entry pairs a crystal structure of Li2TeWO6 with its simulated powder XRD pattern. Radiation: Cu Kα. Structure: a GGA+U-relaxed structure.
Neutral-atom scattering factors, no anomalous dispersion.

Crystal structure
```
Li2TeWO6
1.0
5.476 0.000 0.000
0.000 13.108 0.000
-4.997 0.000 7.117
Li Te W O
8 4 4 24
direct
0.045 0.066 0.239
0.045 0.434 0.739
0.264 0.144 0.021
0.264 0.356 0.521
0.736 0.644 0.479
0.736 0.856 0.979
0.955 0.566 0.261
0.955 0.934 0.761
0.181 0.702 0.930
0.181 0.798 0.430
0.819 0.202 0.570
0.819 0.298 0.070
0.474 0.096 0.756
0.474 0.404 0.256
0.526 0.596 0.744
0.526 0.904 0.244
0.152 0.057 0.760
0.152 0.443 0.260
0.193 0.694 0.709
0.193 0.806 0.209
0.221 0.248 0.692
0.221 0.252 0.192
0.309 0.020 0.163
0.309 0.480 0.663
0.313 0.094 0.507
0.313 0.406 0.007
0.329 0.657 0.469
0.329 0.843 0.969
0.671 0.157 0.031
0.671 0.343 0.531
0.687 0.594 0.993
0.687 0.906 0.493
0.691 0.520 0.337
0.691 0.980 0.837
0.779 0.748 0.808
0.779 0.752 0.308
0.807 0.194 0.791
0.807 0.306 0.291
0.848 0.557 0.740
0.848 0.943 0.240
```

The 12 most intense peaks (5 to 70 degrees two-theta), by angle:
hkl, 2θ (°), d [Å], I_rel
0 2 1, 18.4, 4.821, 100
1 0 0, 19.8, 4.481, 14
1 0 -2, 21.2, 4.198, 30
1 1 -2, 22.2, 3.999, 25
1 2 0, 24.1, 3.699, 14
0 2 2, 28.5, 3.128, 26
1 4 -1, 31.8, 2.810, 30
1 2 1, 32.1, 2.786, 19
2 0 -2, 32.8, 2.732, 22
1 2 -3, 33.9, 2.647, 30
2 2 -1, 37.1, 2.424, 15
1 0 -4, 42.6, 2.123, 19

This entry pairs a crystal structure of Li2Ti3VO8 with its simulated powder XRD pattern. Radiation: Cu Kα. Structure: a GGA+U-relaxed structure.
Neutral-atom scattering factors, no anomalous dispersion.

Crystal structure
```
Li2Ti3VO8
1.0
8.490 0.000 0.000
0.000 8.490 0.000
0.000 0.000 8.490
Li Ti V O
8 12 4 32
direct
0.001 0.499 0.501
0.249 0.749 0.751
0.251 0.251 0.251
0.499 0.501 0.001
0.501 0.001 0.499
0.749 0.751 0.249
0.751 0.249 0.749
0.999 0.999 0.999
0.122 0.625 0.128
0.125 0.372 0.878
0.128 0.122 0.625
0.372 0.878 0.125
0.375 0.628 0.378
0.378 0.375 0.628
0.622 0.875 0.872
0.625 0.128 0.122
0.628 0.378 0.375
0.872 0.622 0.875
0.875 0.872 0.622
0.878 0.125 0.372
0.125 0.875 0.375
0.375 0.125 0.875
0.625 0.625 0.625
0.875 0.375 0.125
0.108 0.124 0.390
0.110 0.892 0.624
0.111 0.611 0.889
0.124 0.390 0.108
0.126 0.142 0.860
0.139 0.361 0.639
0.140 0.626 0.358
0.142 0.860 0.126
0.358 0.140 0.626
0.360 0.374 0.858
0.361 0.639 0.139
0.374 0.858 0.360
0.376 0.610 0.608
0.389 0.389 0.389
0.390 0.108 0.124
0.392 0.876 0.890
0.608 0.376 0.610
0.610 0.608 0.376
0.611 0.889 0.111
0.624 0.110 0.892
0.626 0.358 0.140
0.639 0.139 0.361
0.640 0.874 0.642
0.642 0.640 0.874
0.858 0.360 0.374
0.860 0.126 0.142
0.861 0.861 0.861
0.874 0.642 0.640
0.876 0.890 0.392
0.889 0.111 0.611
0.890 0.392 0.876
0.892 0.624 0.110
```

The 9 most intense peaks (5 to 70 degrees two-theta), by angle:
hkl, 2θ (°), d [Å], I_rel
1 1 1, 18.1, 4.902, 100
2 2 0, 29.8, 3.002, 1
3 1 1, 35.1, 2.560, 46
2 2 2, 36.7, 2.451, 6
4 0 0, 42.6, 2.122, 60
3 3 1, 46.6, 1.948, 9
5 1 1, 56.3, 1.634, 20
4 4 0, 61.8, 1.501, 36
5 3 1, 65.0, 1.435, 13

This entry pairs a crystal structure of Li2Ti2V3O10 with its simulated powder XRD pattern. Radiation: Cu Kα. Structure: a GGA+U-relaxed structure.
Neutral-atom scattering factors, no anomalous dispersion.

Crystal structure
```
Li2Ti2V3O10
1.0
5.154 0.000 0.000
-0.433 8.167 0.000
-2.282 -3.840 9.207
Li Ti V O
4 4 6 20
direct
0.134 0.194 0.091
0.357 0.307 0.410
0.643 0.693 0.590
0.866 0.806 0.909
0.206 0.909 0.726
0.290 0.597 0.784
0.710 0.403 0.216
0.794 0.091 0.274
0.000 0.500 0.000
0.060 0.213 0.602
0.434 0.292 0.899
0.500 0.000 0.500
0.566 0.708 0.101
0.940 0.787 0.398
0.003 0.287 0.275
0.090 0.368 0.806
0.123 0.049 0.410
0.206 0.703 0.983
0.225 0.079 0.900
0.264 0.411 0.603
0.278 0.785 0.496
0.384 0.462 0.098
0.388 0.120 0.685
0.497 0.784 0.769
0.503 0.216 0.231
0.612 0.880 0.315
0.616 0.538 0.902
0.722 0.215 0.504
0.736 0.589 0.397
0.775 0.921 0.100
0.794 0.297 0.017
0.877 0.951 0.590
0.910 0.632 0.194
0.997 0.713 0.725
```

The 12 most intense peaks (5 to 70 degrees two-theta), by angle:
hkl, 2θ (°), d [Å], I_rel
0 1 -1, 12.0, 7.391, 59
1 0 -1, 17.9, 4.952, 100
1 0 1, 22.4, 3.963, 18
0 1 -3, 26.8, 3.324, 19
1 -2 1, 27.7, 3.225, 19
1 0 -3, 30.0, 2.981, 13
0 1 3, 35.6, 2.523, 10
1 3 -2, 38.2, 2.354, 44
-1 1 4, 44.2, 2.051, 31
2 -2 2, 45.3, 2.003, 29
2 3 -3, 50.4, 1.809, 9
2 2 -6, 59.9, 1.545, 9